Computed XRD peak list of Rb3BP2 for Cu Ka, from a GGA-PBE-relaxed structure.

Peak list (8 most intense, 2θ = 10–90°, in order of rising 2θ)
- 22.7 deg, intensity 89.6
- 27.0 deg, intensity 59.1
- 27.4 deg, intensity 72.6
- 27.8 deg, intensity 100.0
- 29.2 deg, intensity 65.0
- 30.0 deg, intensity 67.2
- 32.8 deg, intensity 66.7
- 33.1 deg, intensity 74.0

Atomic structure:
a = 9.6950 Å, b = 9.3508 Å, c = 9.4339 Å
α = 90.00°, β = 110.29°, γ = 90.00°
Space group C2/c (No. 15)
Inequivalent atoms, fractional coordinates:
Rb  0.0000  0.1553  0.2500 x4
Rb  0.2057  0.4491  0.9808 x8
B  0.0000  0.2170  0.7500 x4
P  0.1229  0.2208  0.6468 x8

***

Computed XRD peak list of SnN2Cl6 for Cu Ka, from a GGA-PBE-relaxed structure.

Peak list (8 most intense, 2θ = 10–90°, in order of rising 2θ)
- 15.5 deg, intensity 100.0
- 17.9 deg, intensity 96.8
- 29.9 deg, intensity 57.2
- 36.2 deg, intensity 77.5
- 39.6 deg, intensity 24.9
- 40.6 deg, intensity 47.4
- 52.1 deg, intensity 48.8
- 55.5 deg, intensity 24.0

Atomic structure:
a = 9.9265 Å, b = 9.9265 Å, c = 9.9265 Å
α = 90.00°, β = 90.00°, γ = 90.00°
Space group Fm-3m (No. 225)
Inequivalent atoms, fractional coordinates:
Sn  0.0000  0.0000  0.0000 x4
N  0.2500  0.2500  0.2500 x8
Cl  0.0000  0.0000  0.2470 x24

***

Computed XRD peak list of KLiYF5 for Cu Ka, from a GGA-PBE-relaxed structure.

Peak list (8 most intense, 2θ = 10–90°, in order of rising 2θ)
- 14.9 deg, intensity 100.0
- 18.0 deg, intensity 28.8
- 26.3 deg, intensity 76.6
- 27.9 deg, intensity 31.2
- 28.0 deg, intensity 24.8
- 28.5 deg, intensity 37.4
- 43.3 deg, intensity 23.6
- 47.3 deg, intensity 32.7

Atomic structure:
a = 6.5499 Å, b = 11.9132 Å, c = 6.3922 Å
α = 90.00°, β = 113.72°, γ = 90.00°
Space group P2_1/c (No. 14)
Inequivalent atoms, fractional coordinates:
K  0.0534  0.1507  0.0374 x4
Li  0.4410  0.7452  0.5381 x4
Y  0.3179  0.5022  0.1800 x4
F  0.0449  0.5073  0.8274 x4
F  0.2786  0.6952  0.2225 x4
F  0.2873  0.1745  0.7794 x4
F  0.3353  0.5324  0.5472 x4
F  0.4645  0.1047  0.4654 x4

***

Computed XRD peak list of Ba2NdRuO6 for Cu Ka, from a GGA-PBE-relaxed structure.

Peak list (8 most intense, 2θ = 10–90°, in order of rising 2θ)
- 29.4 deg, intensity 100.0
- 36.2 deg, intensity 2.1
- 42.0 deg, intensity 29.6
- 52.1 deg, intensity 40.2
- 60.9 deg, intensity 18.5
- 69.1 deg, intensity 18.2
- 76.8 deg, intensity 6.1
- 84.2 deg, intensity 21.5

Atomic structure:
a = 8.6021 Å, b = 8.6021 Å, c = 8.6021 Å
α = 90.00°, β = 90.00°, γ = 90.00°
Space group Fm-3m (No. 225)
Inequivalent atoms, fractional coordinates:
Ba  0.2500  0.2500  0.2500 x8
Nd  0.0000  0.0000  0.0000 x4
Ru  0.0000  0.0000  0.5000 x4
O  0.0000  0.0000  0.2696 x24

***

Computed XRD peak list of Sr6Ir2RuO12 for Cu Ka, from a GGA-PBE-relaxed structure.

Peak list (8 most intense, 2θ = 10–90°, in order of rising 2θ)
- 13.8 deg, intensity 34.5
- 30.9 deg, intensity 100.0
- 32.1 deg, intensity 60.7
- 42.1 deg, intensity 18.3
- 46.1 deg, intensity 30.8
- 54.2 deg, intensity 20.4
- 56.5 deg, intensity 37.7
- 64.4 deg, intensity 16.7

Atomic structure:
a = 16.7108 Å, b = 5.5719 Å, c = 6.9778 Å
α = 90.00°, β = 113.52°, γ = 90.00°
Space group C2/m (No. 12)
Inequivalent atoms, fractional coordinates:
Sr  0.0491  0.0000  0.2946 x4
Sr  0.1179  0.5000  0.7065 x4
Sr  0.2158  0.5000  0.2935 x4
Ir  0.1656  0.0000  0.0000 x4
Ru  0.0000  0.5000  0.0000 x2
O  0.0542  0.5000  0.3253 x4
O  0.0826  0.2516  0.0001 x8
O  0.1122  0.0000  0.6741 x4
O  0.2208  0.0000  0.3258 x4
O  0.2500  0.2500  0.0000 x4